[1]
This entry pairs a crystal structure of LiLa4Ta with its simulated powder X-ray diffraction pattern. Radiation: Cu Kα (weighted mean of Kα1 and Kα2). Structure: a cell relaxed with PBE.

The 6 most intense peaks (10 to 80 degrees two-theta), by angle:
| (hkl) | two_theta | I/Imax |
| --- | --- | --- |
| 1 1 1 | 16.87 | 37 |
| 3 1 1 | 32.62 | 100 |
| 2 2 2 | 34.12 | 55 |
| 3 3 3 | 52.21 | 35 |
| 4 4 0 | 57.25 | 30 |
| 6 2 2 | 68.35 | 21 |

Structure:
Cell: 9.1033 9.1033 9.1033 Å, 90.00 90.00 90.00°
Space group F-43m (No. 216)
Unique sites:
Li  0.0000  0.0000  0.0000 (multiplicity 4)
La  0.1226  0.1226  0.3774 (multiplicity 16)
Ta  0.2500  0.2500  0.7500 (multiplicity 4)

[2]
This entry pairs a crystal structure of NaPaO4 with its simulated powder X-ray diffraction pattern. Radiation: Cu Kα (weighted mean of Kα1 and Kα2). Structure: a cell relaxed with PBE.

The 6 most intense peaks (10 to 80 degrees two-theta), by angle:
| (hkl) | two_theta | I/Imax |
| --- | --- | --- |
| 0 0 1 | 14.09 | 100 |
| 1 1 0 | 25.93 | 47 |
| 2 0 0 | 26.84 | 25 |
| 1 1 -1 | 28.82 | 74 |
| 1 1 1 | 30.41 | 24 |
| 3 1 -1 | 47.57 | 24 |

Structure:
Cell: 6.6934 4.0156 6.3317 Å, 90.00 96.93 90.00°
Space group Cm (No. 8)
Unique sites:
Na  0.0000  0.0000  0.0000 (multiplicity 2)
Pa  0.1093  0.5000  0.5389 (multiplicity 2)
O  0.1477  0.5000  0.8501 (multiplicity 2)
O  0.2498  0.0000  0.3644 (multiplicity 2)
O  0.4098  0.0000  0.2222 (multiplicity 2)
O  0.4570  0.5000  0.5822 (multiplicity 2)

What is the formula in the first record?
LiLa4Ta